Record 1
For Pa6NbN12, a PBE-relaxed structure gives the calculated powder X-ray diffraction pattern in this record (Cu Kα, 1.54184 Å).
Kinematic intensities with the Lorentz-polarization factor, no thermal factor.

Structure:
Unit cell a=9.9655 b=9.9655 c=9.4720 alpha=90.00 beta=90.00 gamma=120.00
Space group R-3 (No. 148, hexagonal axes)
Asymmetric unit:
Pa (0.0509, 0.2582, 0.1570)
Nb (0.0000, 0.0000, 0.5000)
N (0.0343, 0.2266, 0.9020)
N (0.0408, 0.2057, 0.3932)

The 6 most intense peaks (10 to 80 degrees two-theta), in order of rising 2θ:
(0 0 3), 3.157 Å, rel. 35; (2 1 1), 3.084 Å, rel. 100; (3 -2 2), 2.686 Å, rel. 55; (2 1 4), 1.916 Å, rel. 29; (1 4 0), 1.883 Å, rel. 27; (1 4 3), 1.617 Å, rel. 27

Record 2
For K2NiPb, a PBE-relaxed structure gives the calculated powder X-ray diffraction pattern in this record (Cu Kα, 1.54184 Å).
Kinematic intensities with the Lorentz-polarization factor, no thermal factor.

Structure:
Unit cell a=4.153 b=6.031 c=11.134 alpha=90.00 beta=90.00 gamma=90.00
Space group Imm2 (No. 44)
Asymmetric unit:
K (0.000, 0.000, 0.000)
K (0.000, 0.500, 0.189)
Ni (0.000, 0.500, 0.769)
Pb (0.000, 0.000, 0.397)

The 6 most intense peaks (10 to 80 degrees two-theta), in order of rising 2θ:
(0 0 2), 5.567 Å, rel. 43; (0 1 1), 5.303 Å, rel. 100; (0 1 3), 3.161 Å, rel. 36; (0 2 0), 3.016 Å, rel. 38; (1 1 2), 2.914 Å, rel. 89; (1 0 3), 2.767 Å, rel. 28

Record 3
For Ce3PaH8, a PBE-relaxed structure gives the calculated powder X-ray diffraction pattern in this record (Cu Kα, 1.54184 Å).
Kinematic intensities with the Lorentz-polarization factor, no thermal factor.

Structure:
Unit cell a=5.386 b=5.386 c=5.386 alpha=90.00 beta=90.00 gamma=90.00
Space group Pm-3m (No. 221)
Asymmetric unit:
Ce (0.000, 0.000, 0.500)
Pa (0.500, 0.500, 0.500)
H (0.257, 0.257, 0.257)

The 6 most intense peaks (10 to 80 degrees two-theta), in order of rising 2θ:
(1 1 1), 3.109 Å, rel. 100; (2 0 0), 2.693 Å, rel. 49; (2 2 0), 1.904 Å, rel. 38; (3 1 1), 1.624 Å, rel. 45; (3 3 1), 1.236 Å, rel. 18; (4 2 0), 1.204 Å, rel. 17

Record 4
For ThZn5PtAu4, a PBE-relaxed structure gives the calculated powder X-ray diffraction pattern in this record (Cu Kα, 1.54184 Å).
Kinematic intensities with the Lorentz-polarization factor, no thermal factor.

Structure:
Unit cell a=4.976 b=4.976 c=8.611 alpha=90.00 beta=90.00 gamma=90.00
Space group P4/mmm (No. 123)
Asymmetric unit:
Th (0.000, 0.000, 0.000)
Zn (0.000, 0.000, 0.500)
Zn (0.000, 0.500, 0.195)
Pt (0.500, 0.500, 0.000)
Au (0.000, 0.500, 0.500)
Au (0.500, 0.500, 0.326)

The 6 most intense peaks (10 to 80 degrees two-theta), in order of rising 2θ:
(1 1 1), 3.257 Å, rel. 45; (2 0 0), 2.488 Å, rel. 98; (1 1 3), 2.224 Å, rel. 100; (2 2 0), 1.759 Å, rel. 39; (3 1 3), 1.380 Å, rel. 44; (4 0 0), 1.244 Å, rel. 28

Record 5
For Na2NbGeO6, a PBE-relaxed structure gives the calculated powder X-ray diffraction pattern in this record (Cu Kα, 1.54184 Å).
Kinematic intensities with the Lorentz-polarization factor, no thermal factor.

Structure:
Unit cell a=5.466 b=5.466 c=3.953 alpha=90.00 beta=90.00 gamma=90.00
Space group P4/mmm (No. 123)
Asymmetric unit:
Na (0.000, 0.500, 0.000)
Nb (0.000, 0.000, 0.500)
Ge (0.500, 0.500, 0.500)
O (0.000, 0.000, 0.000)
O (0.258, 0.258, 0.500)
O (0.500, 0.500, 0.000)

The 6 most intense peaks (10 to 80 degrees two-theta), in order of rising 2θ:
(0 0 1), 3.953 Å, rel. 46; (1 1 0), 3.865 Å, rel. 87; (1 1 1), 2.764 Å, rel. 100; (2 0 0), 2.733 Å, rel. 49; (2 2 0), 1.933 Å, rel. 48; (3 1 1), 1.584 Å, rel. 37

Record 6
For LaPrSmTm3, a PBE-relaxed structure gives the calculated powder X-ray diffraction pattern in this record (Cu Kα, 1.54184 Å).
Kinematic intensities with the Lorentz-polarization factor, no thermal factor.

Structure:
Unit cell a=5.872 b=11.511 c=11.761 alpha=90.00 beta=90.00 gamma=90.00
Space group Cmcm (No. 63)
Asymmetric unit:
La (0.000, 0.007, 0.250)
Pr (0.000, 0.500, 0.000)
Sm (0.000, 0.322, 0.250)
Tm (0.000, 0.174, 0.506)
Tm (0.000, 0.331, 0.750)

The 6 most intense peaks (10 to 80 degrees two-theta), in order of rising 2θ:
(2 0 0), 2.938 Å, rel. 57; (1 3 2), 2.819 Å, rel. 100; (2 0 4), 2.078 Å, rel. 21; (3 3 2), 1.672 Å, rel. 42; (2 6 0), 1.606 Å, rel. 18; (2 6 4), 1.409 Å, rel. 11

Record 7
For Ga2Si2Mo, a PBE-relaxed structure gives the calculated powder X-ray diffraction pattern in this record (Cu Kα, 1.54184 Å).
Kinematic intensities with the Lorentz-polarization factor, no thermal factor.

Structure:
Unit cell a=6.527 b=6.527 c=3.654 alpha=90.00 beta=90.00 gamma=90.00
Space group P4/mbm (No. 127)
Asymmetric unit:
Ga (0.177, 0.323, 0.000)
Si (0.130, 0.630, 0.500)
Mo (0.000, 0.000, 0.500)

The 6 most intense peaks (10 to 80 degrees two-theta), in order of rising 2θ:
(1 1 1), 2.865 Å, rel. 45; (2 0 1), 2.434 Å, rel. 97; (2 2 0), 2.308 Å, rel. 29; (2 1 1), 2.281 Å, rel. 100; (3 1 0), 2.064 Å, rel. 63; (3 1 2), 1.368 Å, rel. 32